The following is a simulated X-ray powder pattern of LiVP2HO8. It was derived from a DFT-relaxed cell (GGA+U, the Materials Project), using Cu Kα.
Neutral-atom scattering factors, no anomalous dispersion.

Cell and atoms:
abc: 7.4711 7.9448 9.7389
angles: 90.00 104.97 90.00
Fractional coordinates of all 52 atoms:
Li1 0.1029 0.0000 0.0744
Li2 0.3942 0.2612 0.6679
Li3 0.6058 0.7612 0.3321
Li4 0.8971 0.5000 0.9256
V1 0.2482 0.6375 0.6239
V2 0.2582 0.6233 0.1260
V3 0.7418 0.1233 0.8740
V4 0.7518 0.1375 0.3761
P1 0.0105 0.2865 0.6878
P2 0.0139 0.2833 0.1916
P3 0.4798 0.9784 0.5557
P4 0.4832 0.9837 0.0646
P5 0.5168 0.4837 0.9354
P6 0.5202 0.4784 0.4443
P7 0.9861 0.7833 0.8084
P8 0.9895 0.7865 0.3122
H1 0.2352 0.1384 0.8569
H2 0.2432 0.1387 0.3644
H3 0.7568 0.6387 0.6356
H4 0.7648 0.6384 0.1431
O1 0.0648 0.4558 0.1377
O2 0.0660 0.4587 0.6425
O3 0.0941 0.6815 0.9423
O4 0.1011 0.6836 0.4414
O5 0.1076 0.8008 0.2032
O6 0.1089 0.8056 0.7054
O7 0.1913 0.1787 0.2520
O8 0.1951 0.1897 0.7528
O9 0.3013 0.0704 0.9944
O10 0.3098 0.0872 0.4968
O11 0.3894 0.4675 0.0389
O12 0.3923 0.4583 0.5464
O13 0.4005 0.5826 0.8041
O14 0.4040 0.5801 0.3100
O15 0.4320 0.8041 0.6030
O16 0.4431 0.8068 0.1190
O17 0.5569 0.3068 0.8810
O18 0.5680 0.3041 0.3970
O19 0.5960 0.0801 0.6900
O20 0.5995 0.0826 0.1959
O21 0.6077 0.9583 0.4536
O22 0.6106 0.9675 0.9611
O23 0.6902 0.5872 0.5032
O24 0.6987 0.5704 0.0056
O25 0.8049 0.6897 0.2472
O26 0.8087 0.6787 0.7480
O27 0.8911 0.3056 0.2946
O28 0.8924 0.3008 0.7968
O29 0.8989 0.1836 0.5586
O30 0.9059 0.1815 0.0577
O31 0.9340 0.9587 0.3575
O32 0.9352 0.9558 0.8623

Most intense lines, 10° ≤ 2θ ≤ 80°, low angle first:
- 16.59°, rel. 77, hkl 1 1 0
- 22.67°, rel. 58, hkl 1 1 -2
- 25.12°, rel. 100, hkl 1 0 2
- 25.60°, rel. 67, hkl 1 2 0
- 27.56°, rel. 21, hkl 1 1 2
- 29.27°, rel. 87, hkl 2 1 -2
- 29.43°, rel. 40, hkl 0 2 2
- 29.98°, rel. 27, hkl 1 2 -2
- 33.55°, rel. 55, hkl 2 2 0
- 43.80°, rel. 19, hkl 2 3 -2

=====

The following is a simulated X-ray powder pattern of LiVP2HO8. It was derived from a DFT-relaxed cell (GGA+U, the Materials Project), using Cu Kα.
Neutral-atom scattering factors, no anomalous dispersion.

Cell and atoms:
abc: 7.7889 7.9697 9.7546
angles: 89.57 67.59 89.89
Fractional coordinates of all 52 atoms:
Li1 0.0000 0.0000 0.0000
Li2 0.0030 0.0013 0.5014
Li3 0.1988 0.4956 0.0454
Li4 0.6943 0.7309 0.5495
V1 0.3509 0.8657 0.5213
V2 0.3626 0.8704 0.0200
V3 0.8349 0.3705 0.0260
V4 0.8443 0.3645 0.5231
P1 0.0874 0.7082 0.3380
P2 0.0870 0.7161 0.8411
P3 0.1135 0.2131 0.2038
P4 0.1135 0.2155 0.7031
P5 0.5763 0.5128 0.3426
P6 0.5794 0.5204 0.8411
P7 0.6152 0.0196 0.7045
P8 0.6170 0.0171 0.2041
H1 0.3359 0.3557 0.7582
H2 0.3444 0.3646 0.2681
H3 0.8584 0.8572 0.2818
H4 0.8599 0.8580 0.7847
O1 0.0004 0.3153 0.1281
O2 0.0293 0.5383 0.4135
O3 0.0391 0.5428 0.9150
O4 0.1614 0.0414 0.1263
O5 0.1623 0.0433 0.6233
O6 0.1900 0.8185 0.4124
O7 0.1944 0.8189 0.9187
O8 0.2042 0.6919 0.1706
O9 0.2076 0.7074 0.6734
O10 0.2881 0.3173 0.1787
O11 0.2956 0.3100 0.6751
O12 0.3994 0.4209 0.3611
O13 0.4013 0.4261 0.8672
O14 0.4886 0.0222 0.3713
O15 0.4892 0.0360 0.8707
O16 0.4992 0.9213 0.1297
O17 0.5075 0.9135 0.6291
O18 0.5348 0.6871 0.4212
O19 0.5347 0.6961 0.9114
O20 0.6606 0.1940 0.1367
O21 0.6631 0.1945 0.6341
O22 0.6954 0.4195 0.4194
O23 0.7013 0.4245 0.9139
O24 0.7062 0.5400 0.6739
O25 0.7103 0.5346 0.1773
O26 0.7950 0.9197 0.6765
O27 0.7968 0.9232 0.1789
O28 0.9024 0.8105 0.3677
O29 0.9076 0.8195 0.8689
O30 0.9904 0.1888 0.3712
O31 0.9935 0.1935 0.8710
O32 0.9952 0.3104 0.6297

Most intense lines, 10° ≤ 2θ ≤ 80°, low angle first:
- 16.59°, rel. 77, hkl 1 1 0
- 22.59°, rel. 28, hkl 0 1 2
- 22.73°, rel. 32, hkl 0 1 -2
- 25.09°, rel. 100, hkl 2 0 2
- 25.54°, rel. 35, hkl 1 -2 0
- 25.56°, rel. 34, hkl 1 2 0
- 29.25°, rel. 61, hkl -1 1 2
- 29.40°, rel. 67, hkl 1 1 -2
- 33.54°, rel. 56, hkl 2 -2 0
- 52.30°, rel. 19, hkl 4 -2 2

=====

The following is a simulated X-ray powder pattern of LiVP2HO8. It was derived from a DFT-relaxed cell (GGA+U, the Materials Project), using Cu Kα.
Neutral-atom scattering factors, no anomalous dispersion.

Cell and atoms:
abc: 7.7501 7.9984 9.7185
angles: 90.00 111.65 90.00
Fractional coordinates of all 52 atoms:
Li1 0.1020 0.0000 0.2254
Li2 0.3974 0.7386 0.7795
Li3 0.6026 0.2386 0.2205
Li4 0.8980 0.5000 0.7746
V1 0.2485 0.3795 0.2528
V2 0.2575 0.3603 0.7490
V3 0.7425 0.8603 0.2510
V4 0.7515 0.8795 0.7472
P1 0.0116 0.7144 0.5669
P2 0.0137 0.7164 0.0664
P3 0.4810 0.0195 0.9330
P4 0.4828 0.0239 0.4320
P5 0.5172 0.5239 0.5680
P6 0.5190 0.5195 0.0670
P7 0.9863 0.2164 0.9336
P8 0.9884 0.2144 0.4331
H1 0.2404 0.8638 0.5088
H2 0.2417 0.8626 0.0084
H3 0.7583 0.3626 0.9916
H4 0.7596 0.3638 0.4912
O1 0.0619 0.5464 0.6496
O2 0.0673 0.5436 0.1372
O3 0.0966 0.3177 0.8552
O4 0.1035 0.3155 0.3582
O5 0.1068 0.1979 0.0996
O6 0.1086 0.1982 0.5977
O7 0.1890 0.8254 0.0945
O8 0.1971 0.8075 0.5938
O9 0.3014 0.9328 0.4086
O10 0.3103 0.9113 0.9072
O11 0.3898 0.5413 0.4038
O12 0.3925 0.5396 0.9011
O13 0.3991 0.4232 0.6434
O14 0.4028 0.4221 0.1449
O15 0.4326 0.1947 0.8643
O16 0.4405 0.1941 0.3505
O17 0.5595 0.6941 0.6495
O18 0.5674 0.6947 0.1357
O19 0.5972 0.9221 0.8551
O20 0.6009 0.9232 0.3566
O21 0.6075 0.0396 0.0989
O22 0.6102 0.0413 0.5962
O23 0.6897 0.4113 0.0928
O24 0.6986 0.4328 0.5914
O25 0.8029 0.3075 0.4062
O26 0.8110 0.3254 0.9055
O27 0.8914 0.6982 0.4023
O28 0.8932 0.6979 0.9004
O29 0.8965 0.8155 0.6418
O30 0.9034 0.8177 0.1448
O31 0.9327 0.0436 0.8628
O32 0.9381 0.0464 0.3504

Most intense lines, 10° ≤ 2θ ≤ 80°, low angle first:
- 16.56°, rel. 79, hkl 1 1 0
- 22.61°, rel. 60, hkl 0 1 2
- 25.31°, rel. 100, hkl 2 0 -2
- 25.48°, rel. 70, hkl 1 2 0
- 27.69°, rel. 21, hkl 2 1 -2
- 29.16°, rel. 90, hkl 1 1 2
- 29.37°, rel. 41, hkl 1 2 -2
- 29.84°, rel. 28, hkl 0 2 2
- 33.48°, rel. 58, hkl 2 2 0
- 38.81°, rel. 20, hkl 1 1 -4